Record 1
Structure and calculated powder XRD pattern of Cs4FeO3 (a crystal structure in the Materials Project, relaxed with GGA+U; Cu Kα).
No peak broadening, texture or thermal motion is included.

Top 10 peaks for 10° ≤ 2θ ≤ 90°, most intense first:
2θ = 27.6°, intensity 100.0
2θ = 27.1°, intensity 47.6
2θ = 29.1°, intensity 42.4
2θ = 27.5°, intensity 40.6
2θ = 33.8°, intensity 37.5
2θ = 32.3°, intensity 24.5
2θ = 26.4°, intensity 19.6
2θ = 44.8°, intensity 18.2
2θ = 24.0°, intensity 16.7
2θ = 25.1°, intensity 16.5

Cell lengths 7.210, 7.242, 10.151 Å; angles 80.51, 71.43, 63.76 degrees
Atoms (fractional coordinates):
Cs  0.022  0.248  0.404
Cs  0.206  0.208  0.012
Cs  0.270  0.648  0.149
Cs  0.432  0.211  0.623
Cs  0.568  0.789  0.377
Cs  0.730  0.352  0.851
Cs  0.794  0.792  0.988
Cs  0.978  0.752  0.596
Fe  0.314  0.795  0.764
Fe  0.686  0.205  0.236
O  0.129  0.019  0.669
O  0.269  0.549  0.826
O  0.447  0.179  0.207
O  0.553  0.821  0.793
O  0.731  0.451  0.174
O  0.871  0.981  0.331

Record 2
Structure and calculated powder XRD pattern of SrCrF5 (a crystal structure in the Materials Project, relaxed with GGA+U; Cu Kα).
No peak broadening, texture or thermal motion is included.

Top 10 peaks for 10° ≤ 2θ ≤ 90°, most intense first:
2θ = 27.7°, intensity 100.0
2θ = 27.1°, intensity 56.1
2θ = 23.7°, intensity 50.0
2θ = 44.2°, intensity 44.2
2θ = 24.2°, intensity 40.7
2θ = 24.8°, intensity 31.3
2θ = 42.9°, intensity 31.3
2θ = 25.2°, intensity 28.8
2θ = 51.2°, intensity 24.7
2θ = 48.5°, intensity 22.8

Cell lengths 11.066, 11.066, 11.066 Å; angles 96.62, 96.62, 140.31 degrees
Atoms (fractional coordinates):
Sr  0.048  0.225  0.274
Sr  0.225  0.952  0.177
Sr  0.257  0.432  0.684
Sr  0.432  0.747  0.175
Sr  0.572  0.257  0.825
Sr  0.747  0.572  0.316
Sr  0.775  0.048  0.823
Sr  0.952  0.775  0.726
Cr  0.006  0.506  0.500
Cr  0.184  0.664  0.849
Cr  0.262  0.262  0.000
Cr  0.335  0.184  0.520
Cr  0.506  0.006  0.500
Cr  0.664  0.815  0.480
Cr  0.761  0.761  0.000
Cr  0.815  0.335  0.151
F  0.011  0.011  0.000
F  0.072  0.391  0.454
F  0.077  0.424  0.862
F  0.078  0.466  0.189
F  0.119  0.921  0.387
F  0.127  0.211  0.835
F  0.130  0.554  0.669
F  0.211  0.376  0.084
F  0.215  0.077  0.653
F  0.221  0.254  0.486
F  0.254  0.767  0.033
F  0.256  0.756  0.500
F  0.277  0.889  0.811
F  0.292  0.127  0.916
F  0.376  0.292  0.165
F  0.391  0.937  0.319
F  0.424  0.562  0.347
F  0.434  0.774  0.866
F  0.461  0.130  0.576
F  0.466  0.277  0.388
F  0.511  0.511  0.000
F  0.534  0.732  0.613
F  0.554  0.885  0.424
F  0.562  0.215  0.138
F  0.568  0.434  0.660
F  0.618  0.072  0.681
F  0.648  0.728  0.833
F  0.728  0.896  0.080
F  0.732  0.119  0.198
F  0.734  0.221  0.967
F  0.756  0.256  0.500
F  0.767  0.734  0.514
F  0.774  0.908  0.340
F  0.815  0.648  0.920
F  0.885  0.461  0.331
F  0.889  0.078  0.612
F  0.896  0.815  0.167
F  0.908  0.568  0.134
F  0.921  0.534  0.802
F  0.937  0.618  0.546